For CsSbPHPt, DFT lattice parameters and positions (GGA-PBE) gives the simulated powder diffraction line list in this record (copper Kα).
Neutral-atom scattering factors, no anomalous dispersion.

Cell: 4.3903 4.6810 7.0976 Å, 71.14 77.08 89.35°
Space group P1 (No. 1)
Asymmetric unit:
1 Cs 0.0000 0.0000 0.0000
2 Sb 0.4012 0.3193 0.3868
3 P 0.6041 0.5515 0.6093
4 H 0.8989 0.0287 0.5760
5 Pt 0.1199 0.7633 0.5333

The 10 most intense peaks (2θ from 10° to 80°), by angle:
| (hkl) | Position (°2θ) | intensity |
| --- | --- | --- |
| 0 0 1 | 13.55 | 886 |
| 1 0 0 | 20.80 | 574 |
| 1 0 1 | 22.07 | 577 |
| 0 0 2 | 27.30 | 602 |
| 0 1 -1 | 27.83 | 662 |
| 0 1 2 | 28.11 | 1000 |
| 1 1 0 | 30.04 | 525 |
| 1 0 2 | 30.34 | 596 |
| -1 1 1 | 30.49 | 397 |
| 0 2 1 | 38.45 | 492 |


For Li2ZrGe2, DFT lattice parameters and positions (GGA-PBE) gives the simulated powder diffraction line list in this record (copper Kα).
Neutral-atom scattering factors, no anomalous dispersion.

Cell: 7.6260 7.6260 2.9837 Å, 90.00 90.00 90.00°
Space group P4/mbm (No. 127)
Asymmetric unit:
1 Li 0.1270 0.3730 0.0000
2 Zr 0.0000 0.0000 0.5000
3 Ge 0.1716 0.6716 0.5000

The 10 most intense peaks (2θ from 10° to 80°), by angle:
| (hkl) | Position (°2θ) | intensity |
| --- | --- | --- |
| 1 1 0 | 16.44 | 414 |
| 2 1 0 | 26.13 | 956 |
| 0 0 1 | 29.95 | 865 |
| 2 2 0 | 33.23 | 465 |
| 3 1 0 | 37.29 | 1000 |
| 2 1 1 | 40.16 | 791 |
| 2 2 1 | 45.33 | 384 |
| 3 1 1 | 48.54 | 815 |
| 4 1 1 | 58.73 | 274 |
| 3 1 2 | 74.84 | 246 |


For Pr4Nd5Tm2, DFT lattice parameters and positions (GGA-PBE) gives the simulated powder diffraction line list in this record (copper Kα).
Neutral-atom scattering factors, no anomalous dispersion.

Cell: 3.5448 9.5848 23.2911 Å, 90.00 90.00 90.00°
Space group Immm (No. 71)
Asymmetric unit:
1 Pr 0.0000 0.0000 0.0956
2 Pr 0.0000 0.2945 0.5000
3 Nd 0.0000 0.2080 0.3468
4 Nd 0.0000 0.5000 0.0000
5 Tm 0.0000 0.0000 0.2301

The 10 most intense peaks (2θ from 10° to 80°), by angle:
| (hkl) | Position (°2θ) | intensity |
| --- | --- | --- |
| 1 1 0 | 26.82 | 245 |
| 1 1 2 | 27.91 | 366 |
| 0 1 7 | 28.39 | 252 |
| 0 2 6 | 29.61 | 676 |
| 0 3 3 | 30.25 | 533 |
| 1 2 1 | 31.63 | 1000 |
| 1 1 6 | 35.55 | 273 |
| 1 0 7 | 37.04 | 475 |
| 1 3 6 | 44.76 | 258 |
| 1 2 13 | 61.10 | 247 |


For BaNa2CoH6, DFT lattice parameters and positions (GGA-PBE) gives the simulated powder diffraction line list in this record (copper Kα).
Neutral-atom scattering factors, no anomalous dispersion.

Cell: 5.0940 5.0940 6.6312 Å, 90.00 90.00 120.00°
Space group P-3m1 (No. 164)
Asymmetric unit:
1 Ba 0.0000 0.0000 0.0000
2 Na 0.3333 0.6667 0.4114
3 Co 0.0000 0.0000 0.5000
4 H 0.1405 0.2810 0.6411

The 10 most intense peaks (2θ from 10° to 80°), by angle:
| (hkl) | Position (°2θ) | intensity |
| --- | --- | --- |
| 1 0 0 | 20.13 | 1000 |
| 0 1 1 | 24.23 | 338 |
| 0 0 2 | 26.89 | 249 |
| 1 0 2 | 33.82 | 618 |
| 1 1 0 | 35.24 | 462 |
| 2 0 0 | 40.91 | 155 |
| 1 1 2 | 44.88 | 369 |
| 0 2 2 | 49.64 | 208 |
| 1 0 4 | 59.57 | 146 |
| 2 1 2 | 62.33 | 203 |